This entry pairs a crystal structure of K3Tb with its computed XRD peak list. Radiation: Cu Kα (λ = 1.5418 Å). Structure: a GGA-PBE-relaxed structure.
Neutral-atom scattering factors, no anomalous dispersion.

```
K3Tb
1.0
9.7252 0.0000 0.0000
0.0000 9.7252 0.0000
0.0000 0.0000 9.7252
K Tb
12 4
direct
0.0000 0.0000 0.0000
0.0000 0.5000 0.5000
0.2500 0.2500 0.2500
0.2500 0.2500 0.7500
0.2500 0.7500 0.2500
0.2500 0.7500 0.7500
0.5000 0.0000 0.5000
0.5000 0.5000 0.0000
0.7500 0.2500 0.2500
0.7500 0.2500 0.7500
0.7500 0.7500 0.2500
0.7500 0.7500 0.7500
0.0000 0.0000 0.5000
0.0000 0.5000 0.0000
0.5000 0.0000 0.0000
0.5000 0.5000 0.5000
```

Largest 6 diffraction maxima, by angle, 15 to 90 degrees two-theta:
| 2θ (°) | I (rel.) |
| --- | --- |
| 15.78 | 34.4 |
| 25.91 | 100.0 |
| 30.49 | 22.0 |
| 36.97 | 18.9 |
| 45.70 | 40.3 |
| 72.77 | 18.9 |

---

This entry pairs a crystal structure of BaHfF6 with its computed XRD peak list. Radiation: Cu Kα (λ = 1.5418 Å). Structure: a GGA-PBE-relaxed structure.
Neutral-atom scattering factors, no anomalous dispersion.

```
BaHfF6
1.0
3.8495 -5.7295 0.0000
3.8495 5.7295 0.0000
0.0000 0.0000 5.6010
Ba Hf F
2 2 12
direct
0.2500 0.7500 0.9456
0.7500 0.2500 0.0544
0.2500 0.2500 0.5000
0.7500 0.7500 0.5000
0.0693 0.3172 0.7476
0.0699 0.9301 0.6478
0.1828 0.4307 0.2524
0.3172 0.0693 0.2524
0.4301 0.5699 0.6478
0.4307 0.1828 0.7476
0.5693 0.8172 0.2524
0.5699 0.4301 0.3522
0.6828 0.9307 0.7476
0.8172 0.5693 0.7476
0.9301 0.0699 0.3522
0.9307 0.6828 0.2524
```

Largest 6 diffraction maxima, by angle, 15 to 90 degrees two-theta:
| 2θ (°) | I (rel.) |
| --- | --- |
| 22.20 | 100.0 |
| 27.92 | 45.2 |
| 28.13 | 42.5 |
| 42.52 | 33.6 |
| 42.94 | 28.7 |
| 52.77 | 19.1 |

---

This entry pairs a crystal structure of Lu3Sn with its computed XRD peak list. Radiation: Cu Kα (λ = 1.5418 Å). Structure: a GGA-PBE-relaxed structure.
Neutral-atom scattering factors, no anomalous dispersion.

```
Lu3Sn
1.0
4.5696 0.0000 0.0000
0.0000 4.5696 0.0000
0.0000 0.0000 10.2474
Lu Sn
6 2
direct
0.0000 0.0000 0.0000
0.0000 0.5000 0.2500
0.0000 0.5000 0.7500
0.5000 0.0000 0.2500
0.5000 0.0000 0.7500
0.5000 0.5000 0.5000
0.0000 0.0000 0.5000
0.5000 0.5000 0.0000
```

Largest 6 diffraction maxima, by angle, 15 to 90 degrees two-theta:
| 2θ (°) | I (rel.) |
| --- | --- |
| 32.77 | 100.0 |
| 35.03 | 20.8 |
| 39.44 | 30.2 |
| 53.76 | 24.9 |
| 61.40 | 16.7 |
| 67.33 | 25.6 |